Structure and simulated X-ray diffraction stick pattern of Gd3TlC (a structure optimized by DFT (PBE); λ = 1.5418 Å (Cu Kα)).
Lines closer than 0.1° are merged.

Most intense lines, 10 to 90 degrees two-theta, in order of rising 2θ:
25.24 deg, rel. 2, (1 1 0); 31.04 deg, rel. 100, (1 1 1); 35.99 deg, rel. 54, (2 0 0); 44.47 deg, rel. 1, (2 1 1); 51.81 deg, rel. 38, (2 2 0); 61.64 deg, rel. 43, (3 1 1); 64.70 deg, rel. 13, (2 2 2); 76.32 deg, rel. 6, (4 0 0); 84.65 deg, rel. 18, (3 3 1); 87.39 deg, rel. 18, (4 2 0)

Structure:
```
data_Gd3TlC
_space_group_name_H-M_alt 'P m -3 m'
_space_group_IT_number 221
_space_group_name_Hall '-P 4 2 3'
_cell_length_a 4.9908
_cell_length_b 4.9908
_cell_length_c 4.9908
_cell_angle_alpha 90.00
_cell_angle_beta 90.00
_cell_angle_gamma 90.00
loop_
_atom_site_label
_atom_site_type_symbol
_atom_site_fract_x
_atom_site_fract_y
_atom_site_fract_z
Gd1 Gd 0.0000 0.0000 0.5000
Tl1 Tl 0.5000 0.5000 0.5000
C1 C 0.0000 0.0000 0.0000
```